Entry 1:
Theoretical X-ray powder pattern of CdI2 for Cu Kα X-rays, from the GGA-PBE geometry in the Materials Project.

Atomic structure:
Lattice parameters (Å, degrees): 4.3330 4.3330 60.1545 90.00 90.00 120.00
Space group P3m1 (No. 156)
Symmetry-distinct sites (fractional):
Cd: 0.0000 0.0000 0.0000
Cd: 0.0000 0.0000 0.1250
Cd: 0.0000 0.0000 0.2500
Cd: 0.0000 0.0000 0.3749
Cd: 0.0000 0.0000 0.5000
Cd: 0.0000 0.0000 0.6249
Cd: 0.0000 0.0000 0.7500
Cd: 0.3333 0.6667 0.8749
I: 0.0000 0.0000 0.8462
I: 0.3333 0.6667 0.0963
I: 0.3333 0.6667 0.2213
I: 0.3333 0.6667 0.3462
I: 0.3333 0.6667 0.4713
I: 0.3333 0.6667 0.5962
I: 0.3333 0.6667 0.7213
I: 0.3333 0.6667 0.9713
I: 0.6667 0.3333 0.0287
I: 0.6667 0.3333 0.1536
I: 0.6667 0.3333 0.2787
I: 0.6667 0.3333 0.4036
I: 0.6667 0.3333 0.5287
I: 0.6667 0.3333 0.6536
I: 0.6667 0.3333 0.7787
I: 0.6667 0.3333 0.9036

Top 6 peaks for 2θ from 10° to 90°, sorted by position:
- 2θ 11.77, rel. 49
- 2θ 26.55, rel. 100
- 2θ 33.75, rel. 45
- 2θ 41.69, rel. 41
- 2θ 43.43, rel. 41
- 2θ 77.27, rel. 17


Entry 2:
Theoretical X-ray powder pattern of CdI2 for Cu Kα X-rays, from the GGA-PBE geometry in the Materials Project.

Atomic structure:
Lattice parameters (Å, degrees): 4.3423 4.3423 146.7877 90.00 90.00 120.00
Space group P3m1 (No. 156)
Symmetry-distinct sites (fractional):
Cd: 0.0000 0.0000 0.0000
Cd: 0.0000 0.0000 0.1000
Cd: 0.0000 0.0000 0.2000
Cd: 0.0000 0.0000 0.3000
Cd: 0.0000 0.0000 0.4000
Cd: 0.0000 0.0000 0.5000
Cd: 0.0000 0.0000 0.6000
Cd: 0.0000 0.0000 0.7000
Cd: 0.0000 0.0000 0.8000
Cd: 0.0000 0.0000 0.9000
Cd: 0.3333 0.6667 0.0500
Cd: 0.3333 0.6667 0.1500
Cd: 0.3333 0.6667 0.2500
Cd: 0.3333 0.6667 0.3500
Cd: 0.3333 0.6667 0.4500
Cd: 0.3333 0.6667 0.5500
Cd: 0.3333 0.6667 0.6500
Cd: 0.6667 0.3333 0.7500
Cd: 0.6667 0.3333 0.8500
Cd: 0.6667 0.3333 0.9500
I: 0.0000 0.0000 0.0618
I: 0.0000 0.0000 0.1618
I: 0.0000 0.0000 0.2618
I: 0.0000 0.0000 0.3618
I: 0.0000 0.0000 0.4618
I: 0.0000 0.0000 0.5618
I: 0.0000 0.0000 0.6618
I: 0.0000 0.0000 0.7382
I: 0.0000 0.0000 0.8382
I: 0.0000 0.0000 0.9382
I: 0.3333 0.6667 0.0118
I: 0.3333 0.6667 0.1118
I: 0.3333 0.6667 0.2118
I: 0.3333 0.6667 0.3118
I: 0.3333 0.6667 0.4118
I: 0.3333 0.6667 0.5118
I: 0.3333 0.6667 0.6118
I: 0.3333 0.6667 0.7118
I: 0.3333 0.6667 0.7618
I: 0.3333 0.6667 0.8118
I: 0.3333 0.6667 0.8618
I: 0.3333 0.6667 0.9118
I: 0.3333 0.6667 0.9618
I: 0.6667 0.3333 0.0382
I: 0.6667 0.3333 0.0882
I: 0.6667 0.3333 0.1382
I: 0.6667 0.3333 0.1882
I: 0.6667 0.3333 0.2382
I: 0.6667 0.3333 0.2882
I: 0.6667 0.3333 0.3382
I: 0.6667 0.3333 0.3882
I: 0.6667 0.3333 0.4382
I: 0.6667 0.3333 0.4882
I: 0.6667 0.3333 0.5382
I: 0.6667 0.3333 0.5882
I: 0.6667 0.3333 0.6382
I: 0.6667 0.3333 0.6882
I: 0.6667 0.3333 0.7882
I: 0.6667 0.3333 0.8882
I: 0.6667 0.3333 0.9882

Top 6 peaks for 2θ from 10° to 90°, sorted by position:
- 2θ 12.06, rel. 69
- 2θ 26.63, rel. 100
- 2θ 29.97, rel. 63
- 2θ 38.92, rel. 38
- 2θ 41.60, rel. 69
- 2θ 66.75, rel. 30


Entry 3:
Theoretical X-ray powder pattern of CdI2 for Cu Kα X-rays, from the GGA-PBE geometry in the Materials Project.

Atomic structure:
Lattice parameters (Å, degrees): 4.3420 4.3420 110.4273 90.00 90.00 120.00
Space group P3m1 (No. 156)
Symmetry-distinct sites (fractional):
Cd: 0.0000 0.0000 0.0000
Cd: 0.0000 0.0000 0.0667
Cd: 0.0000 0.0000 0.2000
Cd: 0.0000 0.0000 0.2667
Cd: 0.0000 0.0000 0.4000
Cd: 0.0000 0.0000 0.5333
Cd: 0.0000 0.0000 0.7333
Cd: 0.0000 0.0000 0.8667
Cd: 0.6667 0.3333 0.1333
Cd: 0.6667 0.3333 0.3333
Cd: 0.6667 0.3333 0.4667
Cd: 0.6667 0.3333 0.6000
Cd: 0.6667 0.3333 0.6667
Cd: 0.6667 0.3333 0.8000
Cd: 0.6667 0.3333 0.9333
I: 0.0000 0.0000 0.1177
I: 0.0000 0.0000 0.3177
I: 0.0000 0.0000 0.4510
I: 0.0000 0.0000 0.5844
I: 0.0000 0.0000 0.6510
I: 0.0000 0.0000 0.7844
I: 0.0000 0.0000 0.9177
I: 0.3333 0.6667 0.0156
I: 0.3333 0.6667 0.0823
I: 0.3333 0.6667 0.1490
I: 0.3333 0.6667 0.2157
I: 0.3333 0.6667 0.2823
I: 0.3333 0.6667 0.3490
I: 0.3333 0.6667 0.4157
I: 0.3333 0.6667 0.4823
I: 0.3333 0.6667 0.5490
I: 0.3333 0.6667 0.6157
I: 0.3333 0.6667 0.6823
I: 0.3333 0.6667 0.7490
I: 0.3333 0.6667 0.8157
I: 0.3333 0.6667 0.8823
I: 0.3333 0.6667 0.9490
I: 0.6667 0.3333 0.0510
I: 0.6667 0.3333 0.1844
I: 0.6667 0.3333 0.2510
I: 0.6667 0.3333 0.3844
I: 0.6667 0.3333 0.5177
I: 0.6667 0.3333 0.7177
I: 0.6667 0.3333 0.8510
I: 0.6667 0.3333 0.9843

Top 6 peaks for 2θ from 10° to 90°, sorted by position:
- 2θ 12.02, rel. 54
- 2θ 26.62, rel. 100
- 2θ 34.09, rel. 22
- 2θ 41.60, rel. 53
- 2θ 44.07, rel. 25
- 2θ 66.62, rel. 23


Entry 4:
Theoretical X-ray powder pattern of CdI2 for Cu Kα X-rays, from the GGA-PBE geometry in the Materials Project.

Atomic structure:
Lattice parameters (Å, degrees): 4.3451 4.3451 80.9284 90.00 90.00 120.00
Space group P3m1 (No. 156)
Symmetry-distinct sites (fractional):
Cd: 0.0000 0.0000 0.0000
Cd: 0.0000 0.0000 0.0909
Cd: 0.0000 0.0000 0.2727
Cd: 0.0000 0.0000 0.3636
Cd: 0.0000 0.0000 0.5455
Cd: 0.0000 0.0000 0.7273
Cd: 0.3333 0.6667 0.1818
Cd: 0.3333 0.6667 0.4546
Cd: 0.3333 0.6667 0.6364
Cd: 0.3333 0.6667 0.8182
Cd: 0.3333 0.6667 0.9091
I: 0.0000 0.0000 0.2032
I: 0.0000 0.0000 0.4759
I: 0.0000 0.0000 0.6577
I: 0.0000 0.0000 0.8396
I: 0.0000 0.0000 0.9305
I: 0.3333 0.6667 0.0214
I: 0.3333 0.6667 0.1123
I: 0.3333 0.6667 0.2941
I: 0.3333 0.6667 0.3850
I: 0.3333 0.6667 0.5669
I: 0.3333 0.6667 0.7487
I: 0.6667 0.3333 0.0695
I: 0.6667 0.3333 0.1604
I: 0.6667 0.3333 0.2514
I: 0.6667 0.3333 0.3422
I: 0.6667 0.3333 0.4332
I: 0.6667 0.3333 0.5241
I: 0.6667 0.3333 0.6150
I: 0.6667 0.3333 0.7059
I: 0.6667 0.3333 0.7968
I: 0.6667 0.3333 0.8877
I: 0.6667 0.3333 0.9786

Top 6 peaks for 2θ from 10° to 90°, sorted by position:
- 2θ 12.03, rel. 53
- 2θ 26.61, rel. 100
- 2θ 34.08, rel. 22
- 2θ 41.57, rel. 52
- 2θ 44.08, rel. 25
- 2θ 66.62, rel. 23


Entry 5:
Theoretical X-ray powder pattern of CdI2 for Cu Kα X-rays, from the GGA-PBE geometry in the Materials Project.

Atomic structure:
Lattice parameters (Å, degrees): 4.3452 4.3452 80.9152 90.00 90.00 120.00
Space group P3m1 (No. 156)
Symmetry-distinct sites (fractional):
Cd: 0.0000 0.0000 0.0000
Cd: 0.0000 0.0000 0.0909
Cd: 0.0000 0.0000 0.1818
Cd: 0.0000 0.0000 0.2727
Cd: 0.0000 0.0000 0.3636
Cd: 0.0000 0.0000 0.4546
Cd: 0.0000 0.0000 0.5455
Cd: 0.0000 0.0000 0.7273
Cd: 0.0000 0.0000 0.8182
Cd: 0.3333 0.6667 0.6364
Cd: 0.3333 0.6667 0.9091
I: 0.0000 0.0000 0.6150
I: 0.0000 0.0000 0.8877
I: 0.3333 0.6667 0.0696
I: 0.3333 0.6667 0.1605
I: 0.3333 0.6667 0.2514
I: 0.3333 0.6667 0.3423
I: 0.3333 0.6667 0.4332
I: 0.3333 0.6667 0.5241
I: 0.3333 0.6667 0.7059
I: 0.3333 0.6667 0.7968
I: 0.3333 0.6667 0.9786
I: 0.6667 0.3333 0.0214
I: 0.6667 0.3333 0.1123
I: 0.6667 0.3333 0.2032
I: 0.6667 0.3333 0.2941
I: 0.6667 0.3333 0.3850
I: 0.6667 0.3333 0.4760
I: 0.6667 0.3333 0.5668
I: 0.6667 0.3333 0.6577
I: 0.6667 0.3333 0.7486
I: 0.6667 0.3333 0.8396
I: 0.6667 0.3333 0.9305

Top 6 peaks for 2θ from 10° to 90°, sorted by position:
- 2θ 12.03, rel. 44
- 2θ 26.61, rel. 100
- 2θ 34.09, rel. 37
- 2θ 41.57, rel. 44
- 2θ 44.08, rel. 27
- 2θ 66.63, rel. 19


Entry 6:
Theoretical X-ray powder pattern of CdI2 for Cu Kα X-rays, from the GGA-PBE geometry in the Materials Project.

Atomic structure:
Lattice parameters (Å, degrees): 4.3326 4.3326 51.8210 90.00 90.00 120.00
Space group P3m1 (No. 156)
Symmetry-distinct sites (fractional):
Cd: 0.0000 0.0000 0.0000
Cd: 0.0000 0.0000 0.1428
Cd: 0.0000 0.0000 0.2857
Cd: 0.0000 0.0000 0.5715
Cd: 0.0000 0.0000 0.7142
Cd: 0.6667 0.3333 0.4286
Cd: 0.6667 0.3333 0.8571
I: 0.0000 0.0000 0.3953
I: 0.0000 0.0000 0.8238
I: 0.3333 0.6667 0.0333
I: 0.3333 0.6667 0.1761
I: 0.3333 0.6667 0.3190
I: 0.3333 0.6667 0.4619
I: 0.3333 0.6667 0.6048
I: 0.3333 0.6667 0.7475
I: 0.3333 0.6667 0.8904
I: 0.6667 0.3333 0.1096
I: 0.6667 0.3333 0.2524
I: 0.6667 0.3333 0.5381
I: 0.6667 0.3333 0.6809
I: 0.6667 0.3333 0.9667

Top 6 peaks for 2θ from 10° to 90°, sorted by position:
- 2θ 11.95, rel. 52
- 2θ 26.63, rel. 100
- 2θ 34.02, rel. 30
- 2θ 41.69, rel. 48
- 2θ 43.91, rel. 27
- 2θ 66.44, rel. 21


Entry 7:
Theoretical X-ray powder pattern of CdI2 for Cu Kα X-rays, from the GGA-PBE geometry in the Materials Project.

Atomic structure:
Lattice parameters (Å, degrees): 4.3463 4.3463 89.1892 90.00 90.00 120.00
Space group R-3m (No. 166, hexagonal axes)
Symmetry-distinct sites (fractional):
Cd: 0.0000 0.0000 0.0416
Cd: 0.0000 0.0000 0.4584
I: 0.0000 0.0000 0.1057
I: 0.0000 0.0000 0.1890
I: 0.0000 0.0000 0.2724
I: 0.0000 0.0000 0.3557

Top 6 peaks for 2θ from 10° to 90°, sorted by position:
- 2θ 11.91, rel. 100
- 2θ 26.10, rel. 98
- 2θ 27.02, rel. 96
- 2θ 32.46, rel. 51
- 2θ 35.40, rel. 46
- 2θ 41.56, rel. 90


Entry 8:
Theoretical X-ray powder pattern of CdI2 for Cu Kα X-rays, from the GGA-PBE geometry in the Materials Project.

Atomic structure:
Lattice parameters (Å, degrees): 4.3354 4.3354 130.4535 90.00 90.00 120.00
Space group P3m1 (No. 156)
Symmetry-distinct sites (fractional):
Cd: 0.0000 0.0000 0.0000
Cd: 0.0000 0.0000 0.0588
Cd: 0.0000 0.0000 0.1176
Cd: 0.0000 0.0000 0.2353
Cd: 0.0000 0.0000 0.2941
Cd: 0.0000 0.0000 0.4118
Cd: 0.0000 0.0000 0.5294
Cd: 0.0000 0.0000 0.6471
Cd: 0.0000 0.0000 0.7647
Cd: 0.0000 0.0000 0.8824
Cd: 0.3333 0.6667 0.1764
Cd: 0.6667 0.3333 0.3530
Cd: 0.6667 0.3333 0.4706
Cd: 0.6667 0.3333 0.5882
Cd: 0.6667 0.3333 0.7059
Cd: 0.6667 0.3333 0.8236
Cd: 0.6667 0.3333 0.9412
I: 0.0000 0.0000 0.1896
I: 0.0000 0.0000 0.3398
I: 0.0000 0.0000 0.4574
I: 0.0000 0.0000 0.5750
I: 0.0000 0.0000 0.6927
I: 0.0000 0.0000 0.8104
I: 0.0000 0.0000 0.9279
I: 0.3333 0.6667 0.0132
I: 0.3333 0.6667 0.0720
I: 0.3333 0.6667 0.1308
I: 0.3333 0.6667 0.2485
I: 0.3333 0.6667 0.3073
I: 0.3333 0.6667 0.3662
I: 0.3333 0.6667 0.4250
I: 0.3333 0.6667 0.4838
I: 0.3333 0.6667 0.5426
I: 0.3333 0.6667 0.6014
I: 0.3333 0.6667 0.6603
I: 0.3333 0.6667 0.7191
I: 0.3333 0.6667 0.7779
I: 0.3333 0.6667 0.8368
I: 0.3333 0.6667 0.8956
I: 0.3333 0.6667 0.9544
I: 0.6667 0.3333 0.0456
I: 0.6667 0.3333 0.1044
I: 0.6667 0.3333 0.1632
I: 0.6667 0.3333 0.2221
I: 0.6667 0.3333 0.2808
I: 0.6667 0.3333 0.3986
I: 0.6667 0.3333 0.5162
I: 0.6667 0.3333 0.6339
I: 0.6667 0.3333 0.7515
I: 0.6667 0.3333 0.8692
I: 0.6667 0.3333 0.9868

Top 6 peaks for 2θ from 10° to 90°, sorted by position:
- 2θ 11.53, rel. 80
- 2θ 26.43, rel. 100
- 2θ 29.72, rel. 29
- 2θ 33.39, rel. 24
- 2θ 41.66, rel. 58
- 2θ 42.78, rel. 26


What is the formula in the eighth record? CdI2